Si23Rh: computed powder XRD pattern (Cu Ka), based on DFT lattice parameters and positions (GGA-PBE).
No peak broadening, texture or thermal motion is included.

Largest 8 diffraction maxima, by angle, 10° ≤ 2θ ≤ 90°:
| (hkl) | Position (°2θ) | d (Å) | I_rel |
| --- | --- | --- | --- |
| 1 1 0 | 12.3 | 7.200 | 82 |
| 2 1 0 | 19.5 | 4.554 | 38 |
| 3 2 1 | 32.9 | 2.721 | 100 |
| 4 1 0 | 36.4 | 2.470 | 13 |
| 3 3 0 | 37.5 | 2.400 | 26 |
| 5 3 0 | 52.4 | 1.746 | 12 |
| 6 0 0 | 54.0 | 1.697 | 19 |
| 5 3 2 | 55.6 | 1.652 | 41 |

Atomic structure:
```
Si23Rh
1.0
10.1828 0.0000 0.0000
0.0000 10.1828 0.0000
0.0000 0.0000 10.1828
Si Rh
46 2
Cartesian
0.0000 1.1862 3.1382
0.0000 1.1862 7.0445
0.0000 2.5457 5.0914
0.0000 7.6371 5.0914
0.0000 8.9966 3.1382
0.0000 8.9966 7.0445
1.1862 3.1382 0.0000
1.1862 7.0445 0.0000
1.8491 1.8491 1.8491
1.8491 1.8491 8.3337
1.8491 8.3337 1.8491
1.8491 8.3337 8.3337
1.9531 3.9052 5.0914
1.9531 6.2776 5.0914
2.5457 5.0914 0.0000
3.1382 0.0000 1.1862
3.1382 0.0000 8.9966
3.2423 3.2423 3.2423
3.2423 3.2423 6.9405
3.2423 6.9405 3.2423
3.2423 6.9405 6.9405
3.9052 5.0914 1.9531
3.9052 5.0914 8.2296
5.0914 0.0000 2.5457
5.0914 0.0000 7.6371
5.0914 1.9531 3.9052
5.0914 1.9531 6.2776
5.0914 8.2296 3.9052
5.0914 8.2296 6.2776
6.2776 5.0914 1.9531
6.2776 5.0914 8.2296
6.9405 3.2423 3.2423
6.9405 3.2423 6.9405
6.9405 6.9405 3.2423
6.9405 6.9405 6.9405
7.0445 0.0000 1.1862
7.0445 0.0000 8.9966
7.6371 5.0914 0.0000
8.2296 3.9052 5.0914
8.2296 6.2776 5.0914
8.3337 1.8491 1.8491
8.3337 1.8491 8.3337
8.3337 8.3337 1.8491
8.3337 8.3337 8.3337
8.9966 3.1382 0.0000
8.9966 7.0445 0.0000
0.0000 0.0000 0.0000
5.0914 5.0914 5.0914
```